Record 1
For CoIr2W, a DFT-relaxed cell (PBE, OQMD) gives the theoretical PXRD pattern in this record (Cu Ka).

Unit cell a=5.449 b=9.401 c=4.311 alpha=90.00 beta=90.00 gamma=90.00
Element x y z (fractional)
Co1 0.000 0.166 0.250
Co2 0.000 0.834 0.750
Co3 0.500 0.334 0.750
Co4 0.500 0.666 0.250
Ir1 0.244 0.087 0.750
Ir2 0.244 0.913 0.250
Ir3 0.256 0.413 0.250
Ir4 0.256 0.587 0.750
Ir5 0.744 0.413 0.250
Ir6 0.744 0.587 0.750
Ir7 0.756 0.087 0.750
Ir8 0.756 0.913 0.250
W1 0.000 0.330 0.750
W2 0.000 0.670 0.250
W3 0.500 0.170 0.250
W4 0.500 0.830 0.750

The 10 most intense peaks (2θ from 10° to 80°), by angle:
- d = 3.180 Å, I = 23
- d = 2.357 Å, I = 23
- d = 2.350 Å, I = 13
- d = 2.156 Å, I = 37
- d = 2.068 Å, I = 100
- d = 2.064 Å, I = 47
- d = 1.590 Å, I = 21
- d = 1.362 Å, I = 8
- d = 1.358 Å, I = 17
- d = 1.227 Å, I = 27

---

Record 2
For Co3Ir3W2, a DFT-relaxed cell (PBE, OQMD) gives the theoretical PXRD pattern in this record (Cu Ka).

Unit cell a=5.346 b=4.262 c=5.358 alpha=90.00 beta=119.58 gamma=90.00
Element x y z (fractional)
Co1 0.000 0.000 0.000
Co2 0.158 0.500 0.838
Co3 0.494 0.000 0.498
Ir1 0.654 0.500 0.337
Ir2 0.667 0.500 0.832
Ir3 0.999 0.000 0.511
W1 0.162 0.500 0.325
W2 0.484 0.000 0.994

The 10 most intense peaks (2θ from 10° to 80°), by angle:
- d = 3.137 Å, I = 28
- d = 2.327 Å, I = 24
- d = 2.313 Å, I = 13
- d = 2.131 Å, I = 37
- d = 2.043 Å, I = 100
- d = 2.033 Å, I = 47
- d = 1.572 Å, I = 14
- d = 1.347 Å, I = 8
- d = 1.213 Å, I = 18
- d = 1.211 Å, I = 9

---

Record 3
For CoIr2W, a DFT-relaxed cell (PBE, OQMD) gives the theoretical PXRD pattern in this record (Cu Ka).

Unit cell a=4.339 b=9.429 c=5.425 alpha=90.00 beta=90.00 gamma=90.00
Element x y z (fractional)
Co1 0.250 0.080 0.000
Co2 0.250 0.580 0.500
Co3 0.750 0.420 0.500
Co4 0.750 0.920 0.000
Ir1 0.250 0.082 0.498
Ir2 0.250 0.336 0.255
Ir3 0.250 0.582 0.998
Ir4 0.250 0.836 0.755
Ir5 0.750 0.164 0.755
Ir6 0.750 0.418 0.998
Ir7 0.750 0.664 0.255
Ir8 0.750 0.918 0.498
W1 0.250 0.336 0.738
W2 0.250 0.836 0.238
W3 0.750 0.164 0.238
W4 0.750 0.664 0.738

The 10 most intense peaks (2θ from 10° to 80°), by angle:
- d = 4.703 Å, I = 10
- d = 3.191 Å, I = 10
- d = 2.357 Å, I = 9
- d = 2.351 Å, I = 16
- d = 2.169 Å, I = 26
- d = 2.069 Å, I = 100
- d = 1.595 Å, I = 15
- d = 1.360 Å, I = 11
- d = 1.356 Å, I = 6
- d = 1.232 Å, I = 19

---

Record 4
For CoIr5W2, a DFT-relaxed cell (PBE, OQMD) gives the theoretical PXRD pattern in this record (Cu Ka).

Unit cell a=4.379 b=5.498 c=9.513 alpha=90.00 beta=90.00 gamma=90.00
Element x y z (fractional)
Co1 0.000 0.000 0.000
Co2 0.000 0.500 0.500
Ir1 0.000 0.249 0.252
Ir2 0.000 0.251 0.752
Ir3 0.000 0.749 0.752
Ir4 0.000 0.751 0.252
Ir5 0.500 0.000 0.333
Ir6 0.500 0.244 0.081
Ir7 0.500 0.256 0.581
Ir8 0.500 0.500 0.833
Ir9 0.500 0.744 0.581
Ir10 0.500 0.756 0.081
W1 0.000 0.000 0.502
W2 0.000 0.500 0.002
W3 0.500 0.000 0.838
W4 0.500 0.500 0.338

The 10 most intense peaks (2θ from 10° to 80°), by angle:
- d = 4.759 Å, I = 3
- d = 4.379 Å, I = 1
- d = 3.223 Å, I = 5
- d = 2.380 Å, I = 25
- d = 2.328 Å, I = 2
- d = 2.190 Å, I = 25
- d = 2.091 Å, I = 100
- d = 1.611 Å, I = 15
- d = 1.374 Å, I = 17
- d = 1.244 Å, I = 19

---

Record 5
For K2CoMoN4, a DFT-relaxed cell (PBE, OQMD) gives the theoretical PXRD pattern in this record (Cu Ka).

Unit cell a=5.663 b=5.663 c=8.124 alpha=90.00 beta=90.00 gamma=90.00
Element x y z (fractional)
K1 0.000 0.000 0.000
K2 0.000 0.500 0.250
K3 0.500 0.000 0.750
K4 0.500 0.500 0.500
Co1 0.000 0.000 0.500
Co2 0.500 0.500 0.000
Mo1 0.000 0.500 0.750
Mo2 0.500 0.000 0.250
N1 0.097 0.243 0.621
N2 0.243 0.903 0.379
N3 0.257 0.597 0.879
N4 0.403 0.257 0.121
N5 0.597 0.743 0.121
N6 0.743 0.403 0.879
N7 0.757 0.097 0.379
N8 0.903 0.757 0.621

The 10 most intense peaks (2θ from 10° to 80°), by angle:
- d = 4.646 Å, I = 40
- d = 2.852 Å, I = 100
- d = 2.831 Å, I = 41
- d = 2.002 Å, I = 14
- d = 1.650 Å, I = 19
- d = 1.639 Å, I = 33
- d = 1.426 Å, I = 11
- d = 1.283 Å, I = 7
- d = 1.268 Å, I = 7
- d = 1.266 Å, I = 8